Simulated X-ray diffraction stick pattern of CuO for Cu Ka, from the PBE geometry in the Materials Project.
No peak broadening, texture or thermal motion is included.

Main lines, most intense first (10 to 90 degrees two-theta):
2θ 35.24, d = 2.547 Å, rel. 100; 2θ 57.09, d = 1.613 Å, rel. 33; 2θ 74.69, d = 1.271 Å, rel. 19; 2θ 62.87, d = 1.478 Å, rel. 17; 2θ 43.64, d = 2.074 Å, rel. 16; 2θ 34.95, d = 2.567 Å, rel. 15; 2θ 63.43, d = 1.467 Å, rel. 12; 2θ 74.52, d = 1.273 Å, rel. 6; 2θ 30.48, d = 2.933 Å, rel. 5; 2θ 89.88, d = 1.091 Å, rel. 4

Structure:
```
CuO
1.0
2.933 0.000 0.000
0.000 2.933 0.000
0.000 0.000 5.134
Cu O
2 2
direct
0.000 0.500 0.000
0.500 0.000 0.500
0.000 0.000 0.250
0.000 0.000 0.750
```